1.
# Nd2MgSiPt6
Simulated XRD peak list, copper Kα. Input: a structure optimized by DFT (PBE).
Kinematic intensities with the Lorentz-polarization factor, no thermal factor.

Crystal structure
abc: 5.592 8.725 8.359
angles: 90.00 90.00 90.00
Fractional positions:
Nd 0.250 0.005 0.229
Nd 0.250 0.495 0.229
Nd 0.750 0.505 0.771
Nd 0.750 0.995 0.771
Mg 0.250 0.750 0.783
Mg 0.750 0.250 0.217
Si 0.250 0.250 0.731
Si 0.750 0.750 0.269
Pt 0.001 0.750 0.042
Pt 0.003 0.750 0.509
Pt 0.250 0.001 0.604
Pt 0.250 0.499 0.604
Pt 0.497 0.750 0.509
Pt 0.499 0.750 0.042
Pt 0.501 0.250 0.958
Pt 0.503 0.250 0.491
Pt 0.750 0.501 0.396
Pt 0.750 0.999 0.396
Pt 0.997 0.250 0.491
Pt 0.999 0.250 0.958

Principal peaks in the range 5 to 70 degrees two-theta, sorted by position:
Position (°2θ), d [Å], I (rel.)
10.58, 8.359, 41
21.26, 4.180, 26
26.63, 3.348, 26
29.60, 3.018, 72
33.76, 2.655, 37
38.24, 2.354, 100
38.75, 2.324, 44
41.39, 2.181, 46
41.72, 2.165, 36
57.99, 1.590, 27

***

2.
# Sm10YSc4
Simulated XRD peak list, copper Kα. Input: a structure optimized by DFT (PBE).
Kinematic intensities with the Lorentz-polarization factor, no thermal factor.

Crystal structure
abc: 8.883 8.883 8.883
angles: 102.43 102.43 124.73
Fractional positions:
Sm 0.035 0.921 0.343
Sm 0.079 0.422 0.114
Sm 0.250 0.750 0.500
Sm 0.309 0.965 0.886
Sm 0.422 0.309 0.343
Sm 0.578 0.691 0.657
Sm 0.691 0.035 0.114
Sm 0.750 0.250 0.500
Sm 0.921 0.578 0.886
Sm 0.965 0.079 0.657
Y 0.000 0.000 0.000
Sc 0.287 0.565 0.851
Sc 0.435 0.287 0.722
Sc 0.565 0.713 0.278
Sc 0.713 0.435 0.149

Principal peaks in the range 5 to 70 degrees two-theta, sorted by position:
Position (°2θ), d [Å], I (rel.)
20.85, 4.260, 18
21.57, 4.120, 39
25.31, 3.519, 95
30.94, 2.891, 25
33.49, 2.676, 100
36.09, 2.489, 57
37.39, 2.405, 36
42.43, 2.130, 33
60.83, 1.523, 16
63.28, 1.470, 27